Structure and simulated PXRD pattern of Fe10CoN8 (a structure optimized by DFT (PBE); Cu Kα).
Intensities are scaled so that the largest is 100.

Principal peaks in the range 10 to 80 degrees two-theta, low angle first:
31.29°, I = 29, (4 0 1); 31.62°, I = 22, (0 0 2); 33.29°, I = 33, (6 0 0); 36.56°, I = 43, (5 1 0); 38.67°, I = 100, (3 1 -2); 41.99°, I = 44, (5 1 -2); 43.79°, I = 43, (5 1 1); 48.03°, I = 79, (0 2 0); 48.24°, I = 29, (0 0 3); 53.47°, I = 36, (10 0 -1)

Crystal structure
a = 17.1714 Å, b = 3.7883 Å, c = 6.0175 Å
α = 90.00°, β = 109.88°, γ = 90.00°
Space group C2/m (No. 12)
One atom of each set of equivalent atoms:
Fe 0.0173 0.0000 0.2836 [4 per cell]
Fe 0.0742 0.5000 0.6613 [4 per cell]
Fe 0.1517 0.5000 0.2920 [4 per cell]
Fe 0.1777 0.0000 0.6357 [4 per cell]
Fe 0.1979 0.0000 0.0767 [4 per cell]
Co 0.0000 0.5000 0.0000 [2 per cell]
N 0.0371 0.5000 0.3177 [4 per cell]
N 0.1026 0.0000 0.7915 [4 per cell]
N 0.1416 0.0000 0.3111 [4 per cell]
N 0.2255 0.5000 0.1213 [4 per cell]

---

Structure and simulated PXRD pattern of Fe3CoN (a structure optimized by DFT (PBE); Cu Kα).
Intensities are scaled so that the largest is 100.

Principal peaks in the range 10 to 80 degrees two-theta, low angle first:
24.22°, I = 1, (1 0 0); 34.51°, I = 2, (1 1 0); 42.61°, I = 100, (1 1 1); 49.61°, I = 57, (2 0 0); 72.78°, I = 32, (2 2 0)

Crystal structure
a = 3.6753 Å, b = 3.6753 Å, c = 3.6753 Å
α = 90.00°, β = 90.00°, γ = 90.00°
Space group Pm-3m (No. 221)
One atom of each set of equivalent atoms:
Fe 0.0000 0.0000 0.5000 [3 per cell]
Co 0.5000 0.5000 0.5000 [1 per cell]
N 0.0000 0.0000 0.0000 [1 per cell]